Diffraction record for FeSCl7. The powder X-ray diffraction pattern is calculated, not measured: it uses DFT lattice parameters and positions (PBE) and Cu Kα X-rays.
Peak positions follow from Bragg's law for the DFT cell and can differ from measured ones.

Cell and atoms:
Cell lengths 6.528, 12.559, 13.635 Å; angles 90.00, 101.76, 90.00 degrees
Sites, in units of the cell vectors:
Fe 0.111 0.018 0.232
Fe 0.111 0.482 0.732
Fe 0.889 0.518 0.268
Fe 0.889 0.982 0.768
S 0.471 0.747 0.418
S 0.471 0.753 0.918
S 0.529 0.247 0.082
S 0.529 0.253 0.582
Cl 0.005 0.553 0.129
Cl 0.005 0.947 0.629
Cl 0.109 0.577 0.403
Cl 0.109 0.923 0.903
Cl 0.141 0.657 0.722
Cl 0.141 0.843 0.222
Cl 0.314 0.666 0.004
Cl 0.314 0.834 0.504
Cl 0.316 0.147 0.613
Cl 0.316 0.353 0.113
Cl 0.353 0.151 0.979
Cl 0.353 0.349 0.479
Cl 0.422 0.093 0.243
Cl 0.422 0.407 0.743
Cl 0.578 0.593 0.257
Cl 0.578 0.907 0.757
Cl 0.647 0.651 0.521
Cl 0.647 0.849 0.021
Cl 0.684 0.647 0.887
Cl 0.684 0.853 0.387
Cl 0.686 0.166 0.496
Cl 0.686 0.334 0.996
Cl 0.859 0.157 0.778
Cl 0.859 0.343 0.278
Cl 0.891 0.077 0.097
Cl 0.891 0.423 0.597
Cl 0.995 0.053 0.371
Cl 0.995 0.447 0.871

Main lines, in order of rising 2θ (2θ = 5–70°):
| d_spacing | I/Imax |
| --- | --- |
| 4.574 | 74 |
| 4.479 | 100 |
| 3.863 | 65 |
| 3.236 | 44 |
| 3.056 | 49 |
| 2.953 | 72 |

Diffraction record for Cs2Na3TlO4. The powder X-ray diffraction pattern is calculated, not measured: it uses DFT lattice parameters and positions (PBE) and Cu Kα X-rays.
Peak positions follow from Bragg's law for the DFT cell and can differ from measured ones.

Cell and atoms:
Cell lengths 6.506, 10.337, 12.796 Å; angles 90.00, 110.66, 90.00 degrees
Sites, in units of the cell vectors:
Cs 0.215 0.229 0.108
Cs 0.215 0.271 0.608
Cs 0.222 0.002 0.865
Cs 0.222 0.498 0.365
Cs 0.778 0.502 0.635
Cs 0.778 0.998 0.135
Cs 0.785 0.729 0.392
Cs 0.785 0.771 0.892
Na 0.112 0.744 0.199
Na 0.112 0.756 0.699
Na 0.140 0.008 0.432
Na 0.140 0.492 0.932
Na 0.413 0.526 0.794
Na 0.413 0.974 0.294
Na 0.587 0.026 0.706
Na 0.587 0.474 0.206
Na 0.860 0.508 0.068
Na 0.860 0.992 0.568
Na 0.888 0.244 0.301
Na 0.888 0.256 0.801
Tl 0.401 0.719 0.063
Tl 0.401 0.781 0.563
Tl 0.599 0.219 0.437
Tl 0.599 0.281 0.937
O 0.233 0.559 0.123
O 0.233 0.941 0.623
O 0.251 0.178 0.344
O 0.251 0.322 0.844
O 0.277 0.598 0.608
O 0.277 0.691 0.881
O 0.277 0.809 0.381
O 0.277 0.902 0.108
O 0.723 0.098 0.892
O 0.723 0.191 0.619
O 0.723 0.309 0.119
O 0.723 0.402 0.392
O 0.749 0.678 0.156
O 0.749 0.822 0.656
O 0.767 0.059 0.377
O 0.767 0.441 0.877

Main lines, in order of rising 2θ (2θ = 5–70°):
| d_spacing | I/Imax |
| --- | --- |
| 4.720 | 37 |
| 3.065 | 39 |
| 3.039 | 28 |
| 3.026 | 35 |
| 2.993 | 100 |
| 2.584 | 26 |

Diffraction record for Cu3SbSe4. The powder X-ray diffraction pattern is calculated, not measured: it uses DFT lattice parameters and positions (PBE) and Cu Kα X-rays.
Peak positions follow from Bragg's law for the DFT cell and can differ from measured ones.

Cell and atoms:
Cell lengths 13.678, 13.678, 13.678 Å; angles 16.81, 16.81, 16.81 degrees
Sites, in units of the cell vectors:
Cu 0.000 0.000 0.000
Cu 0.257 0.257 0.257
Cu 0.519 0.519 0.519
Sb 0.749 0.749 0.749
Se 0.197 0.197 0.197
Se 0.457 0.457 0.457
Se 0.681 0.681 0.681
Se 0.941 0.941 0.941

Main lines, in order of rising 2θ (2θ = 5–70°):
| d_spacing | I/Imax |
| --- | --- |
| 3.371 | 20 |
| 3.276 | 100 |
| 2.042 | 23 |
| 1.999 | 49 |
| 1.719 | 16 |
| 1.706 | 14 |

Diffraction record for CaGaAu3. The powder X-ray diffraction pattern is calculated, not measured: it uses DFT lattice parameters and positions (PBE) and Cu Kα X-rays.
Peak positions follow from Bragg's law for the DFT cell and can differ from measured ones.

Cell and atoms:
Cell lengths 9.272, 9.272, 9.272 Å; angles 90.00, 90.00, 90.00 degrees
Sites, in units of the cell vectors:
Ca 0.107 0.107 0.107
Ca 0.107 0.393 0.607
Ca 0.393 0.607 0.107
Ca 0.393 0.893 0.607
Ca 0.607 0.107 0.393
Ca 0.607 0.393 0.893
Ca 0.893 0.607 0.393
Ca 0.893 0.893 0.893
Ga 0.104 0.604 0.896
Ga 0.104 0.896 0.396
Ga 0.396 0.104 0.896
Ga 0.396 0.396 0.396
Ga 0.604 0.604 0.604
Ga 0.604 0.896 0.104
Ga 0.896 0.104 0.604
Ga 0.896 0.396 0.104
Au 0.079 0.739 0.142
Au 0.079 0.761 0.642
Au 0.142 0.079 0.739
Au 0.142 0.421 0.239
Au 0.239 0.142 0.421
Au 0.239 0.358 0.921
Au 0.261 0.642 0.421
Au 0.261 0.858 0.921
Au 0.358 0.579 0.739
Au 0.358 0.921 0.239
Au 0.421 0.239 0.142
Au 0.421 0.261 0.642
Au 0.579 0.739 0.358
Au 0.579 0.761 0.858
Au 0.642 0.079 0.761
Au 0.642 0.421 0.261
Au 0.739 0.142 0.079
Au 0.739 0.358 0.579
Au 0.761 0.642 0.079
Au 0.761 0.858 0.579
Au 0.858 0.579 0.761
Au 0.858 0.921 0.261
Au 0.921 0.239 0.358
Au 0.921 0.261 0.858

Main lines, in order of rising 2θ (2θ = 5–70°):
| d_spacing | I/Imax |
| --- | --- |
| 3.785 | 57 |
| 2.572 | 94 |
| 2.478 | 100 |
| 2.249 | 100 |
| 2.073 | 36 |
| 2.023 | 52 |

Diffraction record for VFeSb. The powder X-ray diffraction pattern is calculated, not measured: it uses DFT lattice parameters and positions (PBE) and Cu Kα X-rays.
Peak positions follow from Bragg's law for the DFT cell and can differ from measured ones.

Cell and atoms:
Cell lengths 5.789, 5.789, 5.789 Å; angles 90.00, 90.00, 90.00 degrees
Sites, in units of the cell vectors:
V 0.000 0.000 0.000
V 0.000 0.500 0.500
V 0.500 0.000 0.500
V 0.500 0.500 0.000
Fe 0.250 0.250 0.750
Fe 0.250 0.750 0.250
Fe 0.750 0.250 0.250
Fe 0.750 0.750 0.750
Sb 0.000 0.000 0.500
Sb 0.000 0.500 0.000
Sb 0.500 0.000 0.000
Sb 0.500 0.500 0.500

Main lines, in order of rising 2θ (2θ = 5–70°):
| d_spacing | I/Imax |
| --- | --- |
| 3.342 | 43 |
| 2.895 | 33 |
| 2.047 | 100 |
| 1.746 | 20 |
| 1.671 | 8 |
| 1.447 | 15 |

Diffraction record for Te4Mo3WSe2S2. The powder X-ray diffraction pattern is calculated, not measured: it uses DFT lattice parameters and positions (PBE) and Cu Kα X-rays.
Peak positions follow from Bragg's law for the DFT cell and can differ from measured ones.

Cell and atoms:
Cell lengths 3.399, 3.399, 39.957 Å; angles 90.00, 90.00, 120.00 degrees
Sites, in units of the cell vectors:
Te 0.000 0.000 0.000
Te 0.000 0.000 0.094
Te 0.333 0.667 0.810
Te 0.333 0.667 0.904
Mo 0.000 0.000 0.482
Mo 0.000 0.000 0.857
Mo 0.333 0.667 0.670
W 0.333 0.667 0.047
Se 0.000 0.000 0.629
Se 0.000 0.000 0.711
S 0.333 0.667 0.445
S 0.333 0.667 0.520

Main lines, in order of rising 2θ (2θ = 5–70°):
| d_spacing | I/Imax |
| --- | --- |
| 13.319 | 46 |
| 7.991 | 100 |
| 2.941 | 47 |
| 2.536 | 82 |
| 2.126 | 58 |
| 1.699 | 35 |

Diffraction record for Pr3S3N. The powder X-ray diffraction pattern is calculated, not measured: it uses DFT lattice parameters and positions (PBE) and Cu Kα X-rays.
Peak positions follow from Bragg's law for the DFT cell and can differ from measured ones.

Cell and atoms:
Cell lengths 12.270, 4.086, 13.240 Å; angles 90.00, 90.00, 90.00 degrees
Sites, in units of the cell vectors:
Pr 0.038 0.250 0.150
Pr 0.088 0.250 0.627
Pr 0.225 0.250 0.868
Pr 0.275 0.750 0.368
Pr 0.412 0.750 0.127
Pr 0.462 0.750 0.650
Pr 0.538 0.250 0.350
Pr 0.588 0.250 0.873
Pr 0.725 0.250 0.632
Pr 0.775 0.750 0.132
Pr 0.912 0.750 0.373
Pr 0.962 0.750 0.850
S 0.077 0.250 0.393
S 0.142 0.750 0.998
S 0.233 0.750 0.701
S 0.267 0.250 0.201
S 0.358 0.250 0.498
S 0.423 0.750 0.893
S 0.577 0.250 0.107
S 0.642 0.750 0.502
S 0.733 0.750 0.799
S 0.767 0.250 0.299
S 0.858 0.250 0.002
S 0.923 0.750 0.607
N 0.050 0.250 0.798
N 0.450 0.750 0.298
N 0.550 0.250 0.702
N 0.950 0.750 0.202

Main lines, in order of rising 2θ (2θ = 5–70°):
| d_spacing | I/Imax |
| --- | --- |
| 3.479 | 100 |
| 3.401 | 58 |
| 3.345 | 75 |
| 3.310 | 71 |
| 2.372 | 62 |
| 2.043 | 45 |